1.
Calculated powder XRD pattern
Compound: KMgN
Radiation: Cu Ka
Structure: the PBE geometry in the Materials Project
Lines closer than 0.1° are merged.

Principal peaks in the range 10° ≤ 2θ ≤ 90°, by angle:
- 26.6 deg, intensity 20
- 27.8 deg, intensity 69
- 28.0 deg, intensity 42
- 28.7 deg, intensity 59
- 29.3 deg, intensity 100
- 36.4 deg, intensity 28
- 37.6 deg, intensity 39
- 39.5 deg, intensity 40
- 46.5 deg, intensity 27
- 50.3 deg, intensity 18
- 52.2 deg, intensity 32
- 55.9 deg, intensity 27

```
KMgN
1.0
10.2539 0.0000 0.0000
0.0000 3.9077 0.0000
0.0000 0.0000 6.7019
K Mg N
4 4 4
direct
0.1601 0.2500 0.0533 K
0.3399 0.7500 0.5533 K
0.6601 0.2500 0.4467 K
0.8399 0.7500 0.9467 K
0.0445 0.2500 0.6055 Mg
0.4555 0.7500 0.1055 Mg
0.5445 0.2500 0.8945 Mg
0.9555 0.7500 0.3945 Mg
0.0641 0.7500 0.6758 N
0.4359 0.2500 0.1758 N
0.5641 0.7500 0.8242 N
0.9359 0.2500 0.3242 N
```

2.
Calculated powder XRD pattern
Compound: KMgN
Radiation: Cu Ka
Structure: the PBE geometry in the Materials Project
Lines closer than 0.1° are merged.

Principal peaks in the range 10° ≤ 2θ ≤ 90°, by angle:
- 28.6 deg, intensity 11
- 33.8 deg, intensity 100
- 35.8 deg, intensity 24
- 46.4 deg, intensity 6
- 50.6 deg, intensity 23
- 62.3 deg, intensity 14
- 63.0 deg, intensity 13
- 63.5 deg, intensity 22
- 71.1 deg, intensity 2
- 75.8 deg, intensity 2
- 84.3 deg, intensity 11
- 84.9 deg, intensity 5

```
KMgN
1.0
3.6070 0.0000 0.0000
-1.8035 3.1238 0.0000
0.0000 0.0000 5.0204
K Mg N
1 1 1
direct
0.0000 0.0000 0.0000 K
0.6667 0.3333 0.5000 Mg
0.3333 0.6667 0.5000 N
```

3.
Calculated powder XRD pattern
Compound: KNaMg6
Radiation: Cu Ka
Structure: the PBE geometry in the Materials Project
Lines closer than 0.1° are merged.

Principal peaks in the range 10° ≤ 2θ ≤ 90°, by angle:
- 29.9 deg, intensity 29
- 30.1 deg, intensity 10
- 33.3 deg, intensity 39
- 34.3 deg, intensity 100
- 34.5 deg, intensity 56
- 45.3 deg, intensity 18
- 53.3 deg, intensity 18
- 60.1 deg, intensity 18
- 60.2 deg, intensity 10
- 63.9 deg, intensity 10
- 64.3 deg, intensity 19
- 64.7 deg, intensity 15

```
KNaMg6
1.0
5.3843 0.0000 0.0000
0.0000 3.4623 5.9412
0.0000 -3.4623 5.9412
K Na Mg
1 1 6
direct
0.0000 0.0000 0.0000 K
0.5000 0.8331 0.8331 Na
0.0000 0.0062 0.4924 Mg
0.0000 0.4924 0.0062 Mg
0.0000 0.5058 0.5058 Mg
0.5000 0.3378 0.3378 Mg
0.5000 0.3648 0.8256 Mg
0.5000 0.8256 0.3648 Mg
```

4.
Calculated powder XRD pattern
Compound: KNaMg6
Radiation: Cu Ka
Structure: the PBE geometry in the Materials Project
Lines closer than 0.1° are merged.

Principal peaks in the range 10° ≤ 2θ ≤ 90°, by angle:
- 31.1 deg, intensity 36
- 32.6 deg, intensity 79
- 32.8 deg, intensity 47
- 35.2 deg, intensity 100
- 45.8 deg, intensity 23
- 51.6 deg, intensity 19
- 57.0 deg, intensity 9
- 58.4 deg, intensity 13
- 60.1 deg, intensity 19
- 62.5 deg, intensity 21
- 67.3 deg, intensity 27
- 86.1 deg, intensity 8

```
KNaMg6
1.0
5.4655 0.0000 0.0000
0.0000 3.2289 6.3478
0.0000 -3.2289 6.3478
K Na Mg
1 1 6
direct
0.0000 0.0000 0.0000 K
0.0000 0.4957 0.4957 Na
0.0000 0.4961 0.9965 Mg
0.0000 0.9965 0.4961 Mg
0.5000 0.1412 0.6298 Mg
0.5000 0.1690 0.1690 Mg
0.5000 0.6298 0.1412 Mg
0.5000 0.6576 0.6576 Mg
```